Diffraction record for LaV2AgO8. The XRD peak list is calculated, not measured: it uses a PBE+U-relaxed structure and Cu Kα X-rays.
Intensities are scaled so that the largest is 100.

Cell and atoms:
```
12
Lattice="5.9328 0.0000 0.0000 -2.9664 5.1379 0.0000 0.0000 0.0000 6.3912" Properties=species:S:1:pos:R:3 pbc="T T T"
La 0.0000 0.0000 0.0000
V 0.0000 3.4253 4.1403
V 2.9664 1.7126 2.2509
Ag 0.0000 0.0000 3.1956
O 0.0000 1.7186 4.6925
O -1.4780 4.2786 4.6925
O 0.0000 3.4253 2.5021
O 1.4883 0.8593 1.6986
O 1.4780 4.2786 4.6925
O 2.9664 1.7126 3.8890
O 4.4444 0.8593 1.6986
O 2.9664 3.4193 1.6986
```

Most intense lines, 10 to 90 degrees two-theta, in order of rising 2θ:
2theta  I (rel.)  index
17.3  100.0  1 0 0
22.2  33.1  1 0 1
30.1  82.3  1 1 0
33.0  66.2  0 1 2
41.5  36.9  1 1 2
45.3  40.5  2 0 2
46.8  15.7  2 1 0
53.5  15.4  3 0 0
55.4  29.7  1 2 2
60.7  17.8  1 0 4
62.6  16.0  2 2 0
77.3  17.0  2 1 4